Record 1
Computed powder diffraction line list
Compound: SrAcSb2
Radiation: Cu Kα
Structure: a cell relaxed with GGA-PBE
Peak positions follow from Bragg's law for the DFT cell and can differ from measured ones.

Structure:
Cell: 6.759 6.760 15.162 Å, 90.00 116.44 90.00°
Space group P2/c (No. 13)
Symmetry-distinct sites (fractional):
Sr 0.125 0.250 0.125 (multiplicity 4)
Ac 0.375 0.250 0.875 (multiplicity 4)
Sb 0.129 0.250 0.629 (multiplicity 4)
Sb 0.379 0.250 0.379 (multiplicity 4)

Main lines, low angle first (10 to 80 degrees two-theta):
- 14.64°, d = 6.051 Å, I = 20, (0 1 1)
- 26.26°, d = 3.394 Å, I = 43, (0 0 4)
- 26.37°, d = 3.380 Å, I = 85, (0 2 0)
- 30.29°, d = 2.951 Å, I = 7, (2 1 -1)
- 35.67°, d = 2.517 Å, I = 6, (0 1 5)
- 37.58°, d = 2.393 Å, I = 100, (2 2 -2)
- 46.47°, d = 1.954 Å, I = 36, (2 2 2)
- 54.28°, d = 1.690 Å, I = 12, (0 4 0)
- 61.10°, d = 1.517 Å, I = 16, (2 0 6)
- 61.30°, d = 1.512 Å, I = 32, (4 2 -4)
- 67.72°, d = 1.384 Å, I = 12, (2 2 6)
- 67.88°, d = 1.381 Å, I = 24, (4 2 0)


Record 2
Computed powder diffraction line list
Compound: NdTl2InBr6
Radiation: Cu Kα
Structure: a cell relaxed with GGA-PBE
Peak positions follow from Bragg's law for the DFT cell and can differ from measured ones.

Structure:
Cell: 8.216 8.223 8.508 Å, 61.15 61.13 60.03°
Space group P1 (No. 1)
Symmetry-distinct sites (fractional):
Nd 0.000 0.000 0.000 (multiplicity 1)
Tl 0.205 0.205 0.383 (multiplicity 1)
Tl 0.697 0.696 0.910 (multiplicity 1)
In 0.491 0.491 0.527 (multiplicity 1)
Br 0.108 0.354 0.738 (multiplicity 1)
Br 0.249 0.878 0.216 (multiplicity 1)
Br 0.354 0.801 0.737 (multiplicity 1)
Br 0.657 0.249 0.216 (multiplicity 1)
Br 0.800 0.108 0.738 (multiplicity 1)
Br 0.878 0.657 0.216 (multiplicity 1)

Main lines, low angle first (10 to 80 degrees two-theta):
- 14.99°, d = 5.909 Å, I = 46, (1 1 0)
- 20.90°, d = 4.250 Å, I = 82, (1 1 2)
- 21.62°, d = 4.110 Å, I = 60, (2 1 1)
- 25.07°, d = 3.553 Å, I = 62, (2 1 2)
- 30.25°, d = 2.955 Å, I = 65, (2 0 2)
- 33.45°, d = 2.679 Å, I = 100, (1 2 -1)
- 37.49°, d = 2.399 Å, I = 55, (3 2 3)
- 37.91°, d = 2.373 Å, I = 70, (3 3 2)
- 44.62°, d = 2.031 Å, I = 23, (1 1 4)
- 51.44°, d = 1.776 Å, I = 23, (4 2 0)
- 55.17°, d = 1.665 Å, I = 20, (2 3 5)
- 59.20°, d = 1.561 Å, I = 23, (3 5 4)